# 1
For TbPm6Er6, a structure optimized by DFT (GGA-PBE) gives the calculated powder diffraction line list in this record (CuKα).
Peak positions follow from Bragg's law for the DFT cell and can differ from measured ones.

```
data_TbPm6Er6
_cell_length_a 6.7099
_cell_length_b 6.7099
_cell_length_c 11.3643
_cell_angle_alpha 90.00
_cell_angle_beta 90.00
_cell_angle_gamma 120.00
_space_group_name_H-M_alt 'P 6/m m m'
_space_group_IT_number 191
_space_group_name_Hall '-P 6 2'
loop_
_atom_site_label
_atom_site_fract_x
_atom_site_fract_y
_atom_site_fract_z
_atom_site_occupancy
Tb1 0.0000 0.0000 0.0000 1
Pm1 0.0000 0.0000 0.3430 1
Pm2 0.3333 0.6667 0.0000 1
Pm3 0.3333 0.6667 0.5000 1
Er1 0.0000 0.5000 0.2455 1
```

Peak list (10 most intense, 2θ = 10–90°, sorted by position)
two_theta  intensity  index
26.57  33  1 1 0
28.12  25  1 0 3
30.77  59  2 0 0
30.95  81  1 1 2
31.49  33  0 0 4
34.68  100  2 0 2
35.16  28  1 0 4
54.72  37  2 2 0
55.73  30  1 1 6
64.51  25  2 2 4

---

# 2
For TbPm12Er6, a structure optimized by DFT (GGA-PBE) gives the calculated powder diffraction line list in this record (CuKα).
Peak positions follow from Bragg's law for the DFT cell and can differ from measured ones.

```
data_TbPm12Er6
_cell_length_a 15.6847
_cell_length_b 15.6847
_cell_length_c 8.8227
_cell_angle_alpha 90.00
_cell_angle_beta 90.00
_cell_angle_gamma 120.00
_space_group_name_H-M_alt 'R -3'
_space_group_IT_number 148
_space_group_name_Hall '-R 3'
loop_
_atom_site_label
_atom_site_fract_x
_atom_site_fract_y
_atom_site_fract_z
_atom_site_occupancy
Tb1 0.0000 0.0000 0.0000 1
Pm1 0.0354 0.2797 0.3356 1
Pm2 0.0707 0.5618 0.6665 1
Er1 0.0171 0.1380 0.6656 1
```

Peak list (9 most intense, 2θ = 10–90°, sorted by position)
two_theta  intensity  index
30.41  100  3 2 1
35.26  51  5 -3 2
50.73  36  3 2 4
60.30  43  1 7 3
63.29  12  6 4 2
74.57  6  10 -6 4
82.57  4  3 2 7
82.64  13  11 1 1
85.26  16  1 7 6

---

# 3
For Tb2Pm3Er2, a structure optimized by DFT (GGA-PBE) gives the calculated powder diffraction line list in this record (CuKα).
Peak positions follow from Bragg's law for the DFT cell and can differ from measured ones.

```
data_Tb2Pm3Er2
_cell_length_a 3.5507
_cell_length_b 5.7643
_cell_length_c 22.7384
_cell_angle_alpha 90.00
_cell_angle_beta 90.00
_cell_angle_gamma 90.00
_space_group_name_H-M_alt 'I m m m'
_space_group_IT_number 71
_space_group_name_Hall '-I 2 2'
loop_
_atom_site_label
_atom_site_fract_x
_atom_site_fract_y
_atom_site_fract_z
_atom_site_occupancy
Tb1 0.0000 0.0000 0.0842 1
Pm1 0.0000 0.5000 0.0000 1
Pm2 0.0000 0.5000 0.2750 1
Er1 0.0000 0.0000 0.3637 1
```

Peak list (10 most intense, 2θ = 10–90°, sorted by position)
two_theta  intensity  index
27.74  34  1 0 3
31.03  49  0 2 0
31.62  77  0 1 7
33.57  100  1 1 4
42.10  22  1 2 3
51.13  23  1 0 11
55.57  16  0 3 7
56.84  22  1 3 4
61.02  26  1 2 11
61.67  25  2 1 7

---

# 4
For Tb7Pm3Er2, a structure optimized by DFT (GGA-PBE) gives the calculated powder diffraction line list in this record (CuKα).
Peak positions follow from Bragg's law for the DFT cell and can differ from measured ones.

```
data_Tb7Pm3Er2
_cell_length_a 5.8424
_cell_length_b 3.5687
_cell_length_c 18.8086
_cell_angle_alpha 90.00
_cell_angle_beta 93.02
_cell_angle_gamma 90.00
_space_group_name_H-M_alt 'P 1 2/m 1'
_space_group_IT_number 10
loop_
_space_group_symop_operation_xyz
'x,y,z'
'-x,-y,-z'
'-x,y,-z'
'x,-y,z'
loop_
_atom_site_label
_atom_site_fract_x
_atom_site_fract_y
_atom_site_fract_z
_atom_site_occupancy
Tb1 0.0000 0.0000 0.0000 1
Tb2 0.1895 0.5000 0.1779 1
Tb3 0.2572 0.5000 0.5367 1
Tb4 0.3125 0.0000 0.8557 1
Pm1 0.2185 0.0000 0.3664 1
Pm2 0.5000 0.5000 0.0000 1
Er1 0.2918 0.5000 0.7064 1
```

Peak list (10 most intense, 2θ = 10–90°, sorted by position)
two_theta  intensity  index
28.51  29  0 0 6
30.63  55  2 0 0
30.77  39  2 0 -1
31.13  100  1 1 2
31.49  31  0 1 4
31.70  48  1 0 -6
33.19  35  1 0 6
34.66  41  1 1 -4
54.16  26  3 1 1
61.50  24  1 2 -6

---

# 5
For TbPm4Er4, a structure optimized by DFT (GGA-PBE) gives the calculated powder diffraction line list in this record (CuKα).
Peak positions follow from Bragg's law for the DFT cell and can differ from measured ones.

```
data_TbPm4Er4
_cell_length_a 10.7389
_cell_length_b 10.7389
_cell_length_c 5.0458
_cell_angle_alpha 90.00
_cell_angle_beta 90.00
_cell_angle_gamma 90.00
_space_group_name_H-M_alt 'I 4/m m m'
_space_group_IT_number 139
_space_group_name_Hall '-I 4 2'
loop_
_atom_site_label
_atom_site_fract_x
_atom_site_fract_y
_atom_site_fract_z
_atom_site_occupancy
Tb1 0.0000 0.0000 0.0000 1
Pm1 0.0000 0.3308 0.0000 1
Er1 0.1660 0.1660 0.5000 1
```

Peak list (10 most intense, 2θ = 10–90°, sorted by position)
two_theta  intensity  index
30.62  100  3 0 1
35.46  34  3 3 0
35.58  17  0 0 2
51.09  36  6 0 0
60.69  29  6 3 1
60.85  14  3 0 3
63.76  12  6 0 2
83.20  6  9 0 1
83.34  12  6 3 3
85.88  11  9 3 0

---

# 6
For Tb16Pm7Er6, a structure optimized by DFT (GGA-PBE) gives the calculated powder diffraction line list in this record (CuKα).
Peak positions follow from Bragg's law for the DFT cell and can differ from measured ones.

```
data_Tb16Pm7Er6
_cell_length_a 15.8219
_cell_length_b 15.8219
_cell_length_c 15.8219
_cell_angle_alpha 90.00
_cell_angle_beta 90.00
_cell_angle_gamma 90.00
_space_group_name_H-M_alt 'F m -3 m'
_space_group_IT_number 225
_space_group_name_Hall '-F 4 2 3'
loop_
_atom_site_label
_atom_site_fract_x
_atom_site_fract_y
_atom_site_fract_z
_atom_site_occupancy
Tb1 0.1262 0.1262 0.1262 1
Tb2 0.1505 0.1505 0.3495 1
Pm1 0.0000 0.0000 0.0000 1
Pm2 0.0000 0.2500 0.2500 1
Er1 0.0000 0.0000 0.2644 1
```

Peak list (10 most intense, 2θ = 10–90°, sorted by position)
two_theta  intensity  index
25.17  6  4 2 0
27.62  6  4 2 2
29.33  9  3 3 3
32.00  100  4 4 0
33.51  6  5 3 1
35.90  5  6 2 0
45.88  14  8 0 0
57.03  27  8 4 4
66.91  8  8 8 0
76.10  8  12 4 0

---

# 7
For Tb2PmEr6, a structure optimized by DFT (GGA-PBE) gives the calculated powder diffraction line list in this record (CuKα).
Peak positions follow from Bragg's law for the DFT cell and can differ from measured ones.

```
data_Tb2PmEr6
_cell_length_a 10.5924
_cell_length_b 10.5924
_cell_length_c 5.0033
_cell_angle_alpha 90.00
_cell_angle_beta 90.00
_cell_angle_gamma 90.00
_space_group_name_H-M_alt 'P 42/m n m'
_space_group_IT_number 136
_space_group_name_Hall '-P 4n 2n'
loop_
_atom_site_label
_atom_site_fract_x
_atom_site_fract_y
_atom_site_fract_z
_atom_site_occupancy
Tb1 0.1675 0.1675 0.0000 1
Pm1 0.0000 0.0000 0.5000 1
Er1 0.0005 0.3345 0.5000 1
Er2 0.1676 0.8324 0.0000 1
```

Peak list (10 most intense, 2θ = 10–90°, sorted by position)
two_theta  intensity  index
31.00  100  3 0 1
35.95  51  3 3 0
51.75  36  6 0 0
61.56  43  6 3 1
64.62  12  6 0 2
76.10  2  0 0 4
76.28  4  6 6 0
84.52  18  9 0 1
87.16  6  3 3 4
87.31  11  9 3 0

---

# 8
For Tb5PmEr5, a structure optimized by DFT (GGA-PBE) gives the calculated powder diffraction line list in this record (CuKα).
Peak positions follow from Bragg's law for the DFT cell and can differ from measured ones.

```
data_Tb5PmEr5
_cell_length_a 6.8266
_cell_length_b 6.9558
_cell_length_c 8.2833
_cell_angle_alpha 76.36
_cell_angle_beta 76.85
_cell_angle_gamma 72.63
_space_group_name_H-M_alt 'P -1'
_space_group_IT_number 2
loop_
_space_group_symop_operation_xyz
'x,y,z'
'-x,-y,-z'
loop_
_atom_site_label
_atom_site_fract_x
_atom_site_fract_y
_atom_site_fract_z
_atom_site_occupancy
Tb1 0.0000 0.0000 0.0000 1
Tb2 0.1558 0.1317 0.3582 1
Tb3 0.3208 0.2681 0.6557 1
Pm1 0.0000 0.5000 0.0000 1
Er1 0.2133 0.6389 0.3141 1
Er2 0.3538 0.7516 0.7154 1
Er3 0.5000 0.0000 0.0000 1
```

Peak list (10 most intense, 2θ = 10–90°, sorted by position)
two_theta  intensity  index
30.41  9  1 2 2
31.46  36  0 2 -1
31.79  59  2 0 -1
32.25  100  0 2 2
32.78  45  2 0 2
33.89  54  0 0 3
44.40  13  2 -2 0
46.25  10  2 2 -2
48.76  13  2 2 4
58.71  17  4 2 3